Calculated powder diffractogram
Compound: Dy3TmSe4
Radiation: copper Kα
Structure: a cell relaxed with PBE

Structural model:
Lattice parameters (Å, degrees): 7.074 8.031 7.053 90.00 109.19 90.00
Space group P2/c (No. 13)
Symmetry-distinct sites (fractional):
1 Dy 0.000 0.124 0.250
2 Dy 0.000 0.374 0.750
3 Dy 0.500 0.124 0.750
4 Tm 0.500 0.374 0.250
5 Se 0.252 0.127 0.002
6 Se 0.254 0.377 0.500

Most intense lines, 15° ≤ 2θ ≤ 90°, sorted by position:
hkl 2 0 0, 26.73°, d = 3.335 Å, rel. 17; hkl 1 2 -1, 27.08°, d = 3.293 Å, rel. 16; hkl 2 0 -2, 31.07°, d = 2.878 Å, rel. 51; hkl 1 2 1, 31.21°, d = 2.866 Å, rel. 100; hkl 2 0 2, 44.27°, d = 2.046 Å, rel. 19; hkl 3 2 -1, 44.56°, d = 2.033 Å, rel. 37; hkl 1 2 -3, 44.67°, d = 2.029 Å, rel. 37; hkl 0 4 0, 45.16°, d = 2.008 Å, rel. 18; hkl 2 4 -2, 55.83°, d = 1.647 Å, rel. 19; hkl 2 4 2, 65.09°, d = 1.433 Å, rel. 12; hkl 4 4 0, 73.76°, d = 1.285 Å, rel. 17; hkl 3 6 -1, 82.99°, d = 1.164 Å, rel. 12